For Mn2O3, a crystal structure in Alexandria, relaxed with GGA+U gives the computed powder XRD pattern in this record (Cu Kα (weighted mean of Kα1 and Kα2)).

Lattice parameters (Å, degrees): 5.3390 8.8406 9.5337 90.00 90.00 90.00
Space group Pna2_1 (No. 33)
One atom of each set of equivalent atoms:
1 Mn 0.1726 0.1601 0.0000 (multiplicity 4)
2 Mn 0.1743 0.4834 0.2208 (multiplicity 4)
3 Mn 0.1742 0.8369 0.2259 (multiplicity 4)
4 Mn 0.2134 0.1452 0.4067 (multiplicity 4)
5 O 0.0224 0.0209 0.8500 (multiplicity 4)
6 O 0.0386 0.6747 0.3519 (multiplicity 4)
7 O 0.0593 0.3353 0.3490 (multiplicity 4)
8 O 0.1602 0.5029 0.6333 (multiplicity 4)
9 O 0.1634 0.8342 0.5901 (multiplicity 4)
10 O 0.1810 0.1637 0.6183 (multiplicity 4)

Largest 10 diffraction maxima, most intense first, 2θ = 10–90°:
d/Å	Position (°2θ)	I (rel.)
2.771	32.31	1000
2.991	29.88	485
1.533	60.36	416
2.490	36.07	349
1.523	60.80	299
2.670	33.57	225
2.004	45.25	222
3.241	27.52	213
2.252	40.03	210
2.571	34.90	186